Ac4Tl5Au2: calculated PXRD pattern (a wavelength of 1.5418 Å), based on a GGA-PBE-relaxed structure.
Kinematic intensities with the Lorentz-polarization factor, no thermal factor.

Atomic structure:
Lattice parameters (Å, degrees): 8.388 4.065 10.454 90.00 95.06 90.00
Atoms (fractional coordinates):
Ac  0.191  0.000  0.360
Ac  0.235  0.000  0.931
Ac  0.765  0.000  0.069
Ac  0.809  0.000  0.640
Tl  0.166  0.500  0.643
Tl  0.460  0.500  0.180
Tl  0.500  0.500  0.500
Tl  0.540  0.500  0.820
Tl  0.834  0.500  0.357
Au  0.074  0.500  0.133
Au  0.926  0.500  0.867

Largest 10 diffraction maxima, low angle first, 2θ from 10° to 80°:
2θ (°)	Rel. int.
29.31	100
30.41	100
30.69	97
32.10	74
33.96	45
34.33	46
35.02	48
35.19	61
44.58	50
57.95	39